Dy5BiTe4: theoretical X-ray powder pattern (CuKα), based on the PBE geometry in Alexandria.
Neutral-atom scattering factors, no anomalous dispersion.

Structure:
Lattice parameters (Å, degrees): 4.380 4.380 30.901 90.00 90.00 90.00
Space group I4/mmm (No. 139)
Unique sites:
Dy 0.000 0.000 0.000 (multiplicity 2)
Dy 0.000 0.000 0.201 (multiplicity 4)
Dy 0.000 0.000 0.399 (multiplicity 4)
Bi 0.000 0.000 0.500 (multiplicity 2)
Te 0.000 0.000 0.101 (multiplicity 4)
Te 0.000 0.000 0.300 (multiplicity 4)

Principal peaks in the range 10° ≤ 2θ ≤ 90°, low angle first:
2θ = 20.5°, I 1, hkl 1 0 1
2θ = 24.9°, I 1, hkl 1 0 5
2θ = 28.8°, I 100, hkl 1 1 0
2θ = 41.3°, I 76, hkl 2 0 0
2θ = 51.1°, I 27, hkl 2 0 10
2θ = 59.7°, I 9, hkl 2 2 0
2θ = 59.9°, I 4, hkl 0 0 20
2θ = 67.7°, I 24, hkl 3 1 0
2θ = 67.8°, I 12, hkl 1 1 20
2θ = 75.2°, I 26, hkl 3 1 10
2θ = 89.5°, I 3, hkl 4 0 0
2θ = 89.6°, I 6, hkl 2 2 20

***

Dy3BiTe: theoretical X-ray powder pattern (CuKα), based on the PBE geometry in Alexandria.
Neutral-atom scattering factors, no anomalous dispersion.

Structure:
Lattice parameters (Å, degrees): 8.600 4.228 8.863 90.00 91.93 90.00
Space group P2_1/m (No. 11)
Unique sites:
Dy 0.120 0.250 0.370 (multiplicity 2)
Dy 0.345 0.250 0.993 (multiplicity 2)
Dy 0.376 0.750 0.632 (multiplicity 2)
Bi 0.367 0.750 0.263 (multiplicity 2)
Te 0.128 0.250 0.714 (multiplicity 2)

Principal peaks in the range 10° ≤ 2θ ≤ 90°, low angle first:
2θ = 10.3°, I 42, hkl 1 0 0
2θ = 29.6°, I 100, hkl 2 1 0
2θ = 30.3°, I 55, hkl 0 0 3
2θ = 31.1°, I 81, hkl 2 1 -1
2θ = 31.6°, I 47, hkl 2 1 1
2θ = 35.6°, I 55, hkl 2 1 -2
2θ = 36.5°, I 58, hkl 2 1 2
2θ = 37.1°, I 50, hkl 0 1 3
2θ = 37.5°, I 35, hkl 2 0 3
2θ = 42.1°, I 45, hkl 4 0 0
2θ = 42.8°, I 51, hkl 0 2 0
2θ = 61.5°, I 30, hkl 4 2 0

***

DyTh4Bi5: theoretical X-ray powder pattern (CuKα), based on the PBE geometry in Alexandria.
Neutral-atom scattering factors, no anomalous dispersion.

Structure:
Lattice parameters (Å, degrees): 10.226 10.226 6.477 90.00 90.00 90.00
Space group I4/m (No. 87)
Unique sites:
Dy 0.000 0.000 0.000 (multiplicity 2)
Th 0.097 0.303 0.500 (multiplicity 8)
Bi 0.000 0.000 0.500 (multiplicity 2)
Bi 0.100 0.293 0.000 (multiplicity 8)

Principal peaks in the range 10° ≤ 2θ ≤ 90°, low angle first:
2θ = 27.6°, I 100, hkl 0 0 2
2θ = 34.5°, I 1, hkl 3 2 1
2θ = 39.4°, I 79, hkl 1 3 2
2θ = 48.8°, I 29, hkl 4 2 2
2θ = 56.9°, I 14, hkl 0 0 4
2θ = 64.4°, I 38, hkl 1 3 4
2θ = 71.4°, I 28, hkl 4 2 4
2θ = 84.7°, I 9, hkl 2 6 4

***

Dy7Tl2Bi2: theoretical X-ray powder pattern (CuKα), based on the PBE geometry in Alexandria.
Neutral-atom scattering factors, no anomalous dispersion.

Structure:
Lattice parameters (Å, degrees): 11.061 8.371 7.719 90.00 90.05 90.00
Space group C2/m (No. 12)
Unique sites:
Dy 0.000 0.000 0.000 (multiplicity 2)
Dy 0.000 0.500 0.274 (multiplicity 4)
Dy 0.250 0.250 0.286 (multiplicity 8)
Tl 0.000 0.179 0.500 (multiplicity 4)
Bi 0.213 0.500 0.000 (multiplicity 4)

Principal peaks in the range 10° ≤ 2θ ≤ 90°, low angle first:
2θ = 19.7°, I 31, hkl 2 0 1
2θ = 24.2°, I 62, hkl 0 2 1
2θ = 26.7°, I 49, hkl 1 1 2
2θ = 32.4°, I 55, hkl 4 0 0
2θ = 35.3°, I 46, hkl 3 1 -2
2θ = 35.6°, I 100, hkl 2 2 2
2θ = 38.6°, I 17, hkl 2 0 3
2θ = 42.3°, I 28, hkl 3 3 -1
2θ = 43.2°, I 17, hkl 0 4 0
2θ = 47.1°, I 20, hkl 0 0 4
2θ = 58.3°, I 16, hkl 4 0 4
2θ = 65.9°, I 17, hkl 0 4 4

***

Dy4Tl5Bi: theoretical X-ray powder pattern (CuKα), based on the PBE geometry in Alexandria.
Neutral-atom scattering factors, no anomalous dispersion.

Structure:
Lattice parameters (Å, degrees): 7.780 10.170 7.828 90.00 90.00 90.00
Space group Pmmn (No. 59, origin choice 2)
Unique sites:
Dy 0.015 0.250 0.193 (multiplicity 4)
Dy 0.250 0.063 0.521 (multiplicity 4)
Tl 0.054 0.561 0.182 (multiplicity 8)
Tl 0.250 0.250 0.875 (multiplicity 2)
Bi 0.250 0.750 0.499 (multiplicity 2)

Principal peaks in the range 10° ≤ 2θ ≤ 90°, low angle first:
2θ = 25.6°, I 58, hkl 2 0 1
2θ = 28.7°, I 56, hkl 0 3 1
2θ = 31.0°, I 88, hkl 1 3 1
2θ = 32.5°, I 74, hkl 2 0 2
2θ = 34.4°, I 68, hkl 0 0 3
2θ = 36.5°, I 31, hkl 3 0 1
2θ = 37.0°, I 100, hkl 2 3 1
2θ = 42.2°, I 45, hkl 2 3 2
2θ = 44.0°, I 26, hkl 3 3 0
2θ = 54.1°, I 33, hkl 0 6 0
2θ = 57.0°, I 23, hkl 3 3 3
2θ = 67.3°, I 19, hkl 5 3 1

***

Dy4TlBi: theoretical X-ray powder pattern (CuKα), based on the PBE geometry in Alexandria.
Neutral-atom scattering factors, no anomalous dispersion.

Structure:
Lattice parameters (Å, degrees): 8.647 13.256 6.670 90.00 107.52 90.00
Space group C2/c (No. 15)
Unique sites:
Dy 0.094 0.193 0.057 (multiplicity 8)
Dy 0.197 0.405 0.409 (multiplicity 8)
Tl 0.000 0.007 0.750 (multiplicity 4)
Bi 0.000 0.388 0.750 (multiplicity 4)

Principal peaks in the range 10° ≤ 2θ ≤ 90°, low angle first:
2θ = 21.6°, I 22, hkl 2 0 0
2θ = 27.7°, I 22, hkl 1 1 -2
2θ = 28.5°, I 82, hkl 1 3 1
2θ = 31.2°, I 32, hkl 0 2 2
2θ = 32.1°, I 80, hkl 3 1 -1
2θ = 32.2°, I 100, hkl 2 2 1
2θ = 32.9°, I 63, hkl 2 2 -2
2θ = 33.8°, I 92, hkl 1 3 -2
2θ = 35.6°, I 94, hkl 1 5 0
2θ = 59.9°, I 29, hkl 5 3 0
2θ = 61.7°, I 28, hkl 3 5 2
2θ = 68.5°, I 25, hkl 3 5 -4

***

DyTm2Bi2: theoretical X-ray powder pattern (CuKα), based on the PBE geometry in Alexandria.
Neutral-atom scattering factors, no anomalous dispersion.

Structure:
Lattice parameters (Å, degrees): 4.907 18.065 6.621 90.00 90.00 90.00
Space group Cmc2_1 (No. 36)
Unique sites:
Dy 0.000 0.117 0.000 (multiplicity 4)
Tm 0.000 0.320 0.870 (multiplicity 4)
Tm 0.000 0.486 0.237 (multiplicity 4)
Bi 0.000 0.067 0.474 (multiplicity 4)
Bi 0.000 0.290 0.348 (multiplicity 4)

Principal peaks in the range 10° ≤ 2θ ≤ 90°, low angle first:
2θ = 26.9°, I 23, hkl 0 0 2
2θ = 28.7°, I 16, hkl 0 2 2
2θ = 30.7°, I 100, hkl 1 5 0
2θ = 33.0°, I 73, hkl 1 1 2
2θ = 33.6°, I 73, hkl 1 5 1
2θ = 36.0°, I 30, hkl 1 3 2
2θ = 36.6°, I 49, hkl 2 0 0
2θ = 41.3°, I 19, hkl 1 5 2
2θ = 50.5°, I 16, hkl 2 4 2
2θ = 52.5°, I 16, hkl 0 10 1
2θ = 61.1°, I 20, hkl 1 3 4
2θ = 65.7°, I 18, hkl 2 10 1

***

DyTm5Bi4: theoretical X-ray powder pattern (CuKα), based on the PBE geometry in Alexandria.
Neutral-atom scattering factors, no anomalous dispersion.

Structure:
Lattice parameters (Å, degrees): 19.741 4.357 7.605 90.00 101.20 90.00
Space group C2/m (No. 12)
Unique sites:
Dy 0.000 0.000 0.000 (multiplicity 2)
Tm 0.000 0.000 0.500 (multiplicity 2)
Tm 0.189 0.500 0.086 (multiplicity 4)
Tm 0.197 0.500 0.613 (multiplicity 4)
Bi 0.063 0.500 0.777 (multiplicity 4)
Bi 0.134 0.000 0.325 (multiplicity 4)

Principal peaks in the range 10° ≤ 2θ ≤ 90°, low angle first:
2θ = 24.5°, I 37, hkl 1 1 1
2θ = 26.2°, I 32, hkl 3 1 -1
2θ = 27.9°, I 14, hkl 6 0 -1
2θ = 32.6°, I 100, hkl 1 1 2
2θ = 33.0°, I 63, hkl 6 0 -2
2θ = 36.4°, I 21, hkl 5 1 -2
2θ = 38.5°, I 53, hkl 7 1 0
2θ = 41.4°, I 35, hkl 0 2 0
2θ = 47.8°, I 20, hkl 2 0 -4
2θ = 54.0°, I 32, hkl 6 2 -2
2θ = 63.1°, I 24, hkl 5 1 4
2θ = 65.1°, I 16, hkl 2 2 -4

***

Dy3Tm5Bi8: theoretical X-ray powder pattern (CuKα), based on the PBE geometry in Alexandria.
Neutral-atom scattering factors, no anomalous dispersion.

Structure:
Lattice parameters (Å, degrees): 8.8950 8.8950 21.7874 90.00 90.00 120.00
Space group R-3m (No. 166, hexagonal axes)
Unique sites:
Dy 0.0000 0.5000 0.0000 (multiplicity 9)
Tm 0.0000 0.0000 0.0000 (multiplicity 3)
Tm 0.0000 0.0000 0.5000 (multiplicity 3)
Tm 0.0000 0.5000 0.5000 (multiplicity 9)
Bi 0.0000 0.0000 0.2489 (multiplicity 6)
Bi 0.0014 0.5007 0.7507 (multiplicity 18)

Principal peaks in the range 10° ≤ 2θ ≤ 90°, low angle first:
2θ = 24.5°, I 2, hkl 2 0 2
2θ = 28.4°, I 100, hkl 0 2 4
2θ = 40.6°, I 78, hkl 2 2 0
2θ = 48.0°, I 1, hkl 0 4 2
2θ = 50.3°, I 28, hkl 4 0 4
2θ = 58.7°, I 13, hkl 0 4 8
2θ = 64.6°, I 1, hkl 4 2 2
2θ = 66.5°, I 37, hkl 2 4 4
2θ = 73.8°, I 28, hkl 6 0 0
2θ = 79.1°, I 1, hkl 6 0 6
2θ = 87.8°, I 9, hkl 4 4 0

***

Dy5Y3Bi8: theoretical X-ray powder pattern (CuKα), based on the PBE geometry in Alexandria.
Neutral-atom scattering factors, no anomalous dispersion.

Structure:
Lattice parameters (Å, degrees): 8.9595 8.9595 21.9447 90.00 90.00 120.00
Space group R-3m (No. 166, hexagonal axes)
Unique sites:
Dy 0.0000 0.0000 0.0000 (multiplicity 3)
Dy 0.0000 0.0000 0.5000 (multiplicity 3)
Dy 0.0000 0.5000 0.0000 (multiplicity 9)
Y 0.0000 0.5000 0.5000 (multiplicity 9)
Bi 0.0000 0.0000 0.2503 (multiplicity 6)
Bi 0.0003 0.5001 0.2501 (multiplicity 18)

Principal peaks in the range 10° ≤ 2θ ≤ 90°, low angle first:
2θ = 12.1°, I 2, hkl 0 0 3
2θ = 24.3°, I 8, hkl 2 0 2
2θ = 28.2°, I 100, hkl 0 2 4
2θ = 40.3°, I 78, hkl 2 2 0
2θ = 47.6°, I 5, hkl 2 2 6
2θ = 49.9°, I 28, hkl 4 0 4
2θ = 58.3°, I 13, hkl 0 4 8
2θ = 64.1°, I 2, hkl 4 2 2
2θ = 65.9°, I 37, hkl 2 4 4
2θ = 73.2°, I 28, hkl 6 0 0
2θ = 78.4°, I 2, hkl 6 0 6
2θ = 87.0°, I 9, hkl 4 4 0

***

Dy7Zn2Bi2: theoretical X-ray powder pattern (CuKα), based on the PBE geometry in Alexandria.
Neutral-atom scattering factors, no anomalous dispersion.

Structure:
Lattice parameters (Å, degrees): 9.236 10.933 6.765 90.00 90.00 90.00
Space group Cmmm (No. 65)
Unique sites:
Dy 0.000 0.000 0.000 (multiplicity 2)
Dy 0.000 0.500 0.239 (multiplicity 4)
Dy 0.250 0.250 0.249 (multiplicity 8)
Zn 0.000 0.275 0.000 (multiplicity 4)
Bi 0.195 0.000 0.500 (multiplicity 4)

Principal peaks in the range 10° ≤ 2θ ≤ 90°, low angle first:
2θ = 23.3°, I 42, hkl 2 0 1
2θ = 25.2°, I 38, hkl 2 2 0
2θ = 29.3°, I 41, hkl 1 1 2
2θ = 31.1°, I 29, hkl 0 2 2
2θ = 32.8°, I 63, hkl 0 4 0
2θ = 36.8°, I 100, hkl 2 2 2
2θ = 37.6°, I 28, hkl 1 3 2
2θ = 39.0°, I 25, hkl 4 0 0
2θ = 40.6°, I 34, hkl 2 4 1
2θ = 51.8°, I 21, hkl 4 4 0
2θ = 61.2°, I 21, hkl 2 6 2
2θ = 62.7°, I 22, hkl 6 2 0

***

Er3Bi2: theoretical X-ray powder pattern (CuKα), based on the PBE geometry in Alexandria.
Neutral-atom scattering factors, no anomalous dispersion.

Structure:
Lattice parameters (Å, degrees): 9.726 7.937 7.901 90.00 90.00 90.00
Space group Pbcn (No. 60)
Unique sites:
Er 0.000 0.137 0.250 (multiplicity 4)
Er 0.146 0.484 0.623 (multiplicity 8)
Bi 0.150 0.198 0.888 (multiplicity 8)

Principal peaks in the range 10° ≤ 2θ ≤ 90°, low angle first:
2θ = 24.2°, I 56, hkl 2 1 1
2θ = 26.8°, I 29, hkl 1 2 1
2θ = 29.8°, I 20, hkl 3 1 0
2θ = 31.3°, I 100, hkl 2 1 2
2θ = 31.9°, I 60, hkl 3 1 1
2θ = 33.3°, I 97, hkl 1 2 2
2θ = 35.2°, I 44, hkl 1 3 0
2θ = 37.1°, I 31, hkl 1 1 3
2θ = 45.2°, I 20, hkl 4 2 1
2θ = 57.7°, I 32, hkl 5 2 2
2θ = 65.6°, I 29, hkl 3 3 4
2θ = 66.3°, I 23, hkl 2 5 2